ZrSc3Ni: theoretical PXRD pattern (Cu Kα X-rays), based on a PBE-relaxed structure.
Kinematic intensities with the Lorentz-polarization factor, no thermal factor.

Crystal structure
```
ZrSc3Ni
1.0
8.647 -1.627 0.000
8.647 1.627 0.000
-1.632 0.000 7.374
Zr Sc Ni
2 6 2
Cartesian
1.491 0.000 0.345
14.170 0.000 7.028
4.940 0.000 1.352
4.549 0.000 4.549
8.085 0.000 2.197
7.576 0.000 5.177
11.112 0.000 2.824
10.721 0.000 6.021
0.931 0.000 4.221
14.731 0.000 3.153
```

Largest 10 diffraction maxima, in order of rising 2θ, 10° ≤ 2θ ≤ 90°:
- 2θ 10.48, intensity 15
- 2θ 21.05, intensity 15
- 2θ 24.15, intensity 15
- 2θ 35.66, intensity 96
- 2θ 36.45, intensity 100
- 2θ 38.41, intensity 88
- 2θ 48.20, intensity 14
- 2θ 56.58, intensity 24
- 2θ 63.20, intensity 13
- 2θ 68.69, intensity 27